This entry pairs a crystal structure of HoEr2TmSc2 with its computed powder X-ray diffraction pattern. Radiation: Cu Kα, 1.54184 Å. Structure: DFT lattice parameters and positions (GGA-PBE).
No peak broadening, texture or thermal motion is included.

Top 6 peaks for 5 to 70 degrees two-theta, sorted by position:
2θ/deg	I (rel.)
25.21	27
30.57	100
31.16	30
31.26	36
32.31	32
37.18	30

Structure:
Cell: 6.217 17.168 3.318 Å, 90.00 90.00 90.00°
Atoms (fractional coordinates):
Ho 0.000 0.000 0.000
Ho 0.500 0.500 0.500
Er 0.225 0.190 0.000
Er 0.275 0.690 0.500
Er 0.725 0.310 0.500
Er 0.775 0.810 0.000
Tm 0.000 0.500 0.000
Tm 0.500 0.000 0.500
Sc 0.223 0.355 0.500
Sc 0.277 0.855 0.000
Sc 0.723 0.145 0.000
Sc 0.777 0.645 0.500